# DySiTe
Theoretical XRD peak list, Cu Ka. Input: DFT lattice parameters and positions (GGA-PBE).
Lines closer than 0.1° are merged.

Top 6 peaks for 10 to 80 degrees two-theta, low angle first:
2theta  d [Å]  Rel. int.  hkl
21.8  4.078  84  1 1 1
36.0  2.497  100  2 2 0
42.4  2.130  45  3 1 1
51.8  1.766  18  4 0 0
56.8  1.620  19  3 3 1
64.6  1.442  36  4 2 2

Crystal structure
Cell: 7.0634 7.0634 7.0634 Å, 90.00 90.00 90.00°
Space group F-43m (No. 216)
Asymmetric unit:
Dy (0.0000, 0.0000, 0.0000) (multiplicity 4)
Si (0.2500, 0.2500, 0.7500) (multiplicity 4)
Te (0.2500, 0.2500, 0.2500) (multiplicity 4)